[1]
Theoretical X-ray powder pattern
Compound: Zn13Fe
Radiation: a wavelength of 1.5418 Å
Structure: a cell relaxed with GGA-PBE

Structural model:
```
data_Zn13Fe
_chemical_formula_sum 'Zn26 Fe2'
_symmetry_space_group_name_H-M 'C 1 2/m 1'
_symmetry_Int_Tables_number 12
_cell_length_a 10.7992
_cell_length_b 7.6503
_cell_length_c 5.0661
_cell_angle_alpha 90.00
_cell_angle_beta 100.78
_cell_angle_gamma 90.00
loop_
_symmetry_equiv_pos_as_xyz
'x,y,z'
'-x,-y,-z'
'-x,y,-z'
'x,-y,z'
'x+1/2,y+1/2,z'
'-x+1/2,-y+1/2,-z'
'-x+1/2,y+1/2,-z'
'x+1/2,-y+1/2,z'
loop_
_atom_site_label
_atom_site_type_symbol
_atom_site_fract_x
_atom_site_fract_y
_atom_site_fract_z
Zn1 Zn 0.0000 0.0000 0.0000
Zn2 Zn 0.0758 0.2893 0.3140
Zn3 Zn 0.1146 0.5000 0.9379
Zn4 Zn 0.1756 0.1804 0.7996
Zn5 Zn 0.2227 0.0000 0.3755
Fe1 Fe 0.0000 0.0000 0.5000
```

Principal peaks in the range 2θ = 10–90°, in order of rising 2θ:
| d/Å | I/Imax | hkl |
| --- | --- | --- |
| 2.512 | 26 | 2 2 1 |
| 2.180 | 100 | 1 3 1 |
| 2.151 | 44 | 3 1 -2 |
| 2.120 | 61 | 4 2 -1 |
| 2.106 | 25 | 2 0 2 |
| 2.086 | 40 | 0 2 2 |
| 2.068 | 24 | 3 3 0 |
| 2.045 | 31 | 5 1 0 |
| 1.282 | 16 | 5 3 2 |
| 1.264 | 15 | 3 5 -2 |

***

[2]
Theoretical X-ray powder pattern
Compound: As2S
Radiation: a wavelength of 1.5418 Å
Structure: a cell relaxed with GGA-PBE

Structural model:
```
data_As2S
_chemical_formula_sum 'As8 S4'
_symmetry_space_group_name_H-M 'I 41/a m d'
_symmetry_Int_Tables_number 141
_cell_length_a 7.0130
_cell_length_b 7.0130
_cell_length_c 4.9718
_cell_angle_alpha 90.00
_cell_angle_beta 90.00
_cell_angle_gamma 90.00
loop_
_symmetry_equiv_pos_as_xyz
'x,y,z'
'-x,-y,-z'
'-y+1/4,x+3/4,z+1/4'
'y+1/4,-x+3/4,-z+1/4'
'-x+1/2,-y,z+1/2'
'x+1/2,y,-z+1/2'
'y+1/4,-x+1/4,z+3/4'
'-y+1/4,x+1/4,-z+3/4'
'x,-y,-z'
'-x,y,z'
'-y+1/4,-x+1/4,-z+3/4'
'y+1/4,x+1/4,z+3/4'
'-x+1/2,y,-z+1/2'
'x+1/2,-y,z+1/2'
'y+1/4,x+3/4,-z+1/4'
'-y+1/4,-x+3/4,z+1/4'
'x+1/2,y+1/2,z+1/2'
'-x+1/2,-y+1/2,-z+1/2'
'-y+3/4,x+1/4,z+3/4'
'y+3/4,-x+1/4,-z+3/4'
'-x,-y+1/2,z'
'x,y+1/2,-z'
'y+3/4,-x+3/4,z+1/4'
'-y+3/4,x+3/4,-z+1/4'
'x+1/2,-y+1/2,-z+1/2'
'-x+1/2,y+1/2,z+1/2'
'-y+3/4,-x+3/4,-z+1/4'
'y+3/4,x+3/4,z+1/4'
'-x,y+1/2,-z'
'x,-y+1/2,z'
'y+3/4,x+1/4,-z+3/4'
'-y+3/4,-x+1/4,z+3/4'
loop_
_atom_site_label
_atom_site_type_symbol
_atom_site_fract_x
_atom_site_fract_y
_atom_site_fract_z
As1 As 0.0000 0.0000 0.0000
S1 S 0.0000 0.2500 0.3750
```

Principal peaks in the range 2θ = 10–90°, in order of rising 2θ:
| d/Å | I/Imax | hkl |
| --- | --- | --- |
| 4.056 | 41 | 1 0 1 |
| 2.653 | 100 | 2 1 1 |
| 2.479 | 30 | 2 2 0 |
| 2.028 | 53 | 2 0 2 |
| 1.811 | 31 | 3 2 1 |
| 1.753 | 24 | 4 0 0 |
| 1.613 | 10 | 1 0 3 |
| 1.326 | 26 | 4 2 2 |
| 1.260 | 9 | 5 2 1 |
| 1.111 | 11 | 2 2 4 |

***

[3]
Theoretical X-ray powder pattern
Compound: SiO2
Radiation: a wavelength of 1.5418 Å
Structure: a cell relaxed with GGA-PBE

Structural model:
```
data_SiO2
_chemical_formula_sum 'Si8 O16'
_symmetry_space_group_name_H-M 'C 2 2 21'
_symmetry_Int_Tables_number 20
_cell_length_a 8.2225
_cell_length_b 8.7679
_cell_length_c 4.7675
_cell_angle_alpha 90.00
_cell_angle_beta 90.00
_cell_angle_gamma 90.00
loop_
_symmetry_equiv_pos_as_xyz
'x,y,z'
'-x,-y,z+1/2'
'x,-y,-z'
'-x,y,-z+1/2'
'x+1/2,y+1/2,z'
'-x+1/2,-y+1/2,z+1/2'
'x+1/2,-y+1/2,-z'
'-x+1/2,y+1/2,-z+1/2'
loop_
_atom_site_label
_atom_site_type_symbol
_atom_site_fract_x
_atom_site_fract_y
_atom_site_fract_z
Si1 Si 0.1842 0.1628 0.3687
O1 O 0.0000 0.1507 0.2500
O2 O 0.1931 0.2930 0.6129
O3 O 0.2409 0.0000 0.5000
```

Principal peaks in the range 2θ = 10–90°, in order of rising 2θ:
| d/Å | I/Imax | hkl |
| --- | --- | --- |
| 5.998 | 47 | 1 1 0 |
| 4.384 | 53 | 0 2 0 |
| 4.111 | 97 | 2 0 0 |
| 3.732 | 91 | 1 1 1 |
| 3.227 | 100 | 0 2 1 |
| 3.113 | 48 | 2 0 1 |
| 2.538 | 22 | 2 2 1 |
| 1.992 | 20 | 0 4 1 |
| 1.888 | 19 | 4 0 1 |
| 1.866 | 20 | 2 2 2 |

***

[4]
Theoretical X-ray powder pattern
Compound: U
Radiation: a wavelength of 1.5418 Å
Structure: a cell relaxed with GGA-PBE

Structural model:
```
data_U
_chemical_formula_sum 'U32'
_symmetry_space_group_name_H-M 'P m m a'
_symmetry_Int_Tables_number 51
_cell_length_a 22.7761
_cell_length_b 5.8220
_cell_length_c 5.0431
_cell_angle_alpha 90.00
_cell_angle_beta 90.00
_cell_angle_gamma 90.00
loop_
_symmetry_equiv_pos_as_xyz
'x,y,z'
'-x,-y,-z'
'-x+1/2,-y,z'
'x+1/2,y,-z'
'x+1/2,-y,-z'
'-x+1/2,y,z'
'-x,y,-z'
'x,-y,z'
loop_
_atom_site_label
_atom_site_type_symbol
_atom_site_fract_x
_atom_site_fract_y
_atom_site_fract_z
U1 U 0.0000 0.2174 0.0000
U2 U 0.0619 0.2798 0.4949
U3 U 0.1248 0.2465 0.9913
U4 U 0.1882 0.2206 0.4869
U5 U 0.2500 0.2822 0.9871
```

Principal peaks in the range 2θ = 10–90°, in order of rising 2θ:
| d/Å | I/Imax | hkl |
| --- | --- | --- |
| 2.911 | 69 | 0 2 0 |
| 2.522 | 52 | 0 0 2 |
| 2.479 | 100 | 8 0 1 |
| 1.906 | 41 | 0 2 2 |
| 1.887 | 81 | 8 2 1 |
| 1.448 | 19 | 8 0 3 |
| 1.296 | 24 | 8 2 3 |
| 1.261 | 14 | 0 0 4 |
| 1.255 | 16 | 8 4 1 |
| 1.141 | 17 | 16 2 2 |